Entry 1:
Starting from a structure optimized by DFT (PBE), the powder X-ray diffraction pattern of Ce2PmSnN5 was simulated for Cu Kα (weighted mean of Kα1 and Kα2).
Peak positions follow from Bragg's law for the DFT cell and can differ from measured ones.

Principal peaks in the range 10 to 80 degrees two-theta, low angle first:
two_theta	intensity	(hkl)
26.96	23.8	1 1 1
29.75	100.0	0 4 2
30.24	71.3	1 1 2
31.36	45.8	0 0 4
31.48	29.8	1 3 0
45.03	25.4	1 3 4
51.28	18.9	2 0 0
52.31	17.9	1 5 4
54.84	18.5	0 4 6
60.40	27.5	2 4 2

Structural model:
abc: 3.5641 14.1281 11.4082
angles: 90.00 90.00 90.00
Space group Cmcm (No. 63)
Asymmetric unit:
Ce 0.0000 0.1384 0.0077 [8 per cell]
Pm 0.0000 0.2709 0.2500 [4 per cell]
Sn 0.0000 0.4915 0.7500 [4 per cell]
N 0.0000 0.0882 0.2500 [4 per cell]
N 0.0000 0.2718 0.5995 [8 per cell]
N 0.0000 0.4112 0.1101 [8 per cell]



Entry 2:
Starting from a structure optimized by DFT (PBE), the powder X-ray diffraction pattern of Li2NdAsO was simulated for Cu Kα (weighted mean of Kα1 and Kα2).
Peak positions follow from Bragg's law for the DFT cell and can differ from measured ones.

Principal peaks in the range 10 to 80 degrees two-theta, low angle first:
two_theta	intensity	(hkl)
18.63	100.0	0 0 2
21.03	27.9	1 1 0
29.91	90.5	2 0 0
35.47	96.7	2 0 2
37.77	27.7	0 0 4
42.81	37.3	2 2 0
47.06	38.9	2 2 2
48.91	44.9	2 0 4
58.40	29.1	2 2 4
73.64	22.3	4 2 2

Structural model:
abc: 5.9747 5.9747 9.5262
angles: 90.00 90.00 90.00
Space group I4/mcm (No. 140)
Asymmetric unit:
Li 0.1904 0.3096 0.0000 [8 per cell]
Nd 0.0000 0.0000 0.2500 [4 per cell]
As 0.0000 0.5000 0.2500 [4 per cell]
O 0.0000 0.0000 0.0000 [4 per cell]